1.
Diffraction record for Pm3Er3MgSe8. The powder X-ray diffraction pattern is theoretical, not measured: it uses the GGA-PBE geometry in Alexandria and CuKα.

Cell: 8.1439 8.1439 20.3173 Å, 90.00 90.00 120.00°
Space group R-3m (No. 166, hexagonal axes)
Inequivalent atoms, fractional coordinates:
Pm: 0.0000 0.5000 0.0000 x9
Er: 0.0000 0.5000 0.5000 x9
Mg: 0.0000 0.0000 0.5000 x3
Se: 0.0000 0.0000 0.2454 x6
Se: 0.0044 0.5022 0.2444 x18

Main lines, by angle (10° ≤ 2θ ≤ 90°):
(hkl), 2θ (°), Rel. int.
0 1 2, 15.29, 17
0 2 4, 30.87, 100
2 0 8, 43.93, 37
2 2 0, 44.50, 37
4 0 4, 55.14, 19
2 4 4, 73.45, 16


2.
Diffraction record for NaAu2Cl4. The powder X-ray diffraction pattern is theoretical, not measured: it uses the GGA-PBE geometry in Alexandria and CuKα.

Cell: 7.9610 7.9634 8.6749 Å, 111.76 94.51 118.11°
Space group P-1 (No. 2)
Inequivalent atoms, fractional coordinates:
Na: 0.0803 0.1181 0.3028 x2
Au: 0.0000 0.5000 0.5000 x1
Au: 0.5000 0.0000 0.0000 x1
Au: 0.5000 0.0000 0.5000 x1
Au: 0.5000 0.5000 0.0000 x1
Cl: 0.2025 0.0060 0.0043 x2
Cl: 0.2270 0.0310 0.5384 x2
Cl: 0.3076 0.5760 0.4748 x2
Cl: 0.3138 0.6471 0.9879 x2

Main lines, by angle (10° ≤ 2θ ≤ 90°):
(hkl), 2θ (°), Rel. int.
1 0 0, 13.23, 82
1 0 -1, 14.66, 39
1 -1 1, 15.83, 32
0 0 2, 23.22, 100
0 2 -2, 27.29, 50
0 2 0, 28.69, 50


3.
Diffraction record for EuHfP2. The powder X-ray diffraction pattern is theoretical, not measured: it uses the GGA-PBE geometry in Alexandria and CuKα.

Cell: 3.8634 3.8634 19.7999 Å, 90.00 90.00 120.00°
Space group R-3m (No. 166, hexagonal axes)
Inequivalent atoms, fractional coordinates:
Eu: 0.0000 0.0000 0.0000 x3
Hf: 0.0000 0.0000 0.5000 x3
P: 0.0000 0.0000 0.2401 x6

Main lines, by angle (10° ≤ 2θ ≤ 90°):
(hkl), 2θ (°), Rel. int.
0 0 6, 27.02, 26
0 1 2, 28.15, 66
1 0 4, 32.29, 100
0 1 8, 45.59, 37
1 1 0, 47.04, 35
1 1 12, 75.83, 24


4.
Diffraction record for Ho3SiGe2. The powder X-ray diffraction pattern is theoretical, not measured: it uses the GGA-PBE geometry in Alexandria and CuKα.

Cell: 11.4900 4.0923 11.4804 Å, 90.00 90.00 90.00°
Space group Pnma (No. 62)
Inequivalent atoms, fractional coordinates:
Ho: 0.0582 0.2500 0.1221 x4
Ho: 0.1175 0.7500 0.5562 x4
Ho: 0.2121 0.2500 0.7937 x4
Si: 0.1305 0.2500 0.3721 x4
Ge: 0.0158 0.7500 0.3050 x4
Ge: 0.1902 0.7500 0.9980 x4

Main lines, by angle (10° ≤ 2θ ≤ 90°):
(hkl), 2θ (°), Rel. int.
3 0 2, 28.01, 51
2 1 2, 31.03, 58
0 1 3, 32.02, 100
1 0 4, 32.13, 69
3 1 1, 32.97, 73
3 1 2, 35.72, 55


5.
Diffraction record for PuCu6Ni6. The powder X-ray diffraction pattern is theoretical, not measured: it uses the GGA-PBE geometry in Alexandria and CuKα.

Cell: 4.7659 8.3145 8.3367 Å, 90.00 90.00 90.00°
Space group Immm (No. 71)
Inequivalent atoms, fractional coordinates:
Pu: 0.0000 0.0000 0.0000 x2
Cu: 0.0000 0.0000 0.3554 x4
Cu: 0.0000 0.3518 0.0000 x4
Cu: 0.0000 0.5000 0.2777 x4
Ni: 0.0000 0.2825 0.5000 x4
Ni: 0.2500 0.2500 0.2500 x8

Main lines, by angle (10° ≤ 2θ ≤ 90°):
(hkl), 2θ (°), Rel. int.
1 1 2, 30.43, 24
1 3 0, 37.50, 43
0 0 4, 43.42, 20
0 4 0, 43.55, 100
2 2 0, 43.77, 53
3 3 2, 72.18, 17


6.
Diffraction record for ErInSn2I8. The powder X-ray diffraction pattern is theoretical, not measured: it uses the GGA-PBE geometry in Alexandria and CuKα.

Cell: 7.2896 7.7350 9.5156 Å, 89.98 89.95 88.84°
Space group P-1 (No. 2)
Inequivalent atoms, fractional coordinates:
Er: 0.0000 0.0000 0.0000 x1
In: 0.0000 0.0000 0.5000 x1
Sn: 0.5000 0.4999 0.2508 x2
I: 0.2356 0.3227 0.0001 x2
I: 0.2443 0.8445 0.2243 x2
I: 0.2448 0.8450 0.7755 x2
I: 0.2709 0.3578 0.5003 x2

Main lines, by angle (10° ≤ 2θ ≤ 90°):
(hkl), 2θ (°), Rel. int.
1 1 -2, 25.03, 83
1 -1 2, 25.26, 100
1 2 0, 25.86, 56
2 1 2, 32.88, 77
-2 1 2, 33.24, 76
0 3 -2, 39.77, 88